(1)
Calculated powder X-ray diffraction pattern
Compound: NaTaP2O8
Radiation: Cu Kα (λ = 1.5418 Å)
Structure: a cell relaxed with PBE
Intensities are scaled so that the largest is 100.

Structural model:
```
NaTaP2O8
1.0
2.616 1.511 8.226
-2.616 1.511 8.226
0.000 -3.021 8.226
Na Ta P O
1 1 2 8
Cartesian
0.000 0.000 0.000 Na
0.000 0.000 12.339 Ta
0.000 0.000 5.891 P
0.000 0.000 18.786 P
-1.375 -0.794 11.179 O
0.000 0.000 7.383 O
0.000 -1.588 13.498 O
-1.375 0.794 13.498 O
1.375 -0.794 11.179 O
0.000 1.588 11.179 O
0.000 0.000 17.295 O
1.375 0.794 13.498 O
```

The 10 most intense peaks (5 to 70 degrees two-theta), by angle:
| 2θ/deg | Rel. int. |
| --- | --- |
| 10.76 | 93 |
| 19.92 | 54 |
| 24.37 | 100 |
| 26.71 | 14 |
| 32.17 | 16 |
| 34.27 | 30 |
| 35.20 | 15 |
| 49.94 | 14 |
| 55.70 | 18 |
| 56.94 | 16 |

---

(2)
Calculated powder X-ray diffraction pattern
Compound: Na2TaPO8
Radiation: Cu Kα (λ = 1.5418 Å)
Structure: a cell relaxed with PBE
Intensities are scaled so that the largest is 100.

Structural model:
```
Na2TaPO8
1.0
6.324 0.000 0.000
-3.162 5.477 0.000
0.000 0.000 5.055
Na Ta P O
2 1 1 8
Cartesian
0.000 3.651 0.771 Na
3.162 1.826 4.284 Na
0.000 0.000 2.527 Ta
0.000 0.000 0.000 P
0.000 1.382 1.060 O
-1.965 4.786 1.060 O
1.197 0.691 3.995 O
0.000 3.651 3.366 O
3.162 1.826 1.689 O
1.965 4.786 1.060 O
5.128 0.691 3.995 O
3.162 4.095 3.995 O
```

The 10 most intense peaks (5 to 70 degrees two-theta), by angle:
| 2θ/deg | Rel. int. |
| --- | --- |
| 16.18 | 100 |
| 23.96 | 32 |
| 28.22 | 43 |
| 33.42 | 14 |
| 37.35 | 15 |
| 39.26 | 18 |
| 45.97 | 10 |
| 47.46 | 16 |
| 49.05 | 15 |
| 57.55 | 20 |

---

(3)
Calculated powder X-ray diffraction pattern
Compound: NaTi3P3O13
Radiation: Cu Kα (λ = 1.5418 Å)
Structure: a cell relaxed with PBE
Intensities are scaled so that the largest is 100.

Structural model:
```
NaTi3P3O13
1.0
7.714 0.000 0.000
0.000 6.412 0.000
-1.721 0.000 10.343
Na Ti P O
2 6 6 26
Cartesian
0.871 1.603 1.878 Na
5.122 4.809 8.465 Na
-0.296 1.603 8.347 Ti
1.474 4.809 4.583 Ti
3.857 0.000 0.000 Ti
3.857 3.206 0.000 Ti
4.518 1.603 5.760 Ti
6.289 4.809 1.996 Ti
1.282 4.809 1.249 P
0.502 4.809 7.922 P
1.265 1.603 5.348 P
4.728 4.809 4.995 P
5.490 1.603 2.421 P
4.710 1.603 9.094 P
-0.062 4.809 0.472 O
-0.392 3.583 8.177 O
-0.392 6.036 8.177 O
0.730 4.809 2.720 O
0.210 1.603 6.449 O
1.140 0.360 4.448 O
1.140 2.846 4.448 O
1.109 4.809 6.508 O
2.117 3.535 0.998 O
2.117 6.083 0.998 O
1.234 1.603 9.356 O
1.671 4.809 8.983 O
2.694 1.603 6.021 O
3.298 4.809 4.322 O
4.321 1.603 1.360 O
4.759 4.809 0.987 O
3.876 0.329 9.345 O
3.876 2.877 9.345 O
4.884 1.603 3.835 O
4.852 3.566 5.895 O
4.852 6.053 5.895 O
5.783 4.809 3.894 O
5.263 1.603 7.623 O
6.384 0.377 2.166 O
6.384 2.829 2.166 O
6.054 1.603 9.872 O
```

The 10 most intense peaks (5 to 70 degrees two-theta), by angle:
| 2θ/deg | Rel. int. |
| --- | --- |
| 16.26 | 39 |
| 19.10 | 97 |
| 22.32 | 52 |
| 23.38 | 75 |
| 23.59 | 43 |
| 26.26 | 53 |
| 27.83 | 87 |
| 29.41 | 48 |
| 30.15 | 64 |
| 32.04 | 100 |

---

(4)
Calculated powder X-ray diffraction pattern
Compound: NaTiPO5
Radiation: Cu Kα (λ = 1.5418 Å)
Structure: a cell relaxed with PBE
Intensities are scaled so that the largest is 100.

Structural model:
```
NaTiPO5
1.0
6.728 0.000 0.000
0.000 8.582 0.000
-3.087 0.000 6.510
Na Ti P O
4 4 4 20
Cartesian
0.841 0.675 1.759 Na
-0.702 3.616 5.015 Na
4.343 4.966 1.496 Na
2.800 7.907 4.751 Na
0.080 6.378 3.366 Ti
1.624 6.495 0.110 Ti
2.017 2.087 6.400 Ti
3.561 2.204 3.145 Ti
-0.633 0.607 4.887 P
0.910 3.684 1.631 P
2.731 4.899 4.879 P
4.274 7.975 1.624 P
-1.401 1.561 3.933 O
0.142 2.730 0.678 O
-0.085 4.558 2.449 O
-1.628 8.316 5.704 O
-0.642 5.859 4.870 O
0.902 7.014 1.615 O
1.888 4.574 0.802 O
0.344 8.299 4.057 O
0.159 1.537 5.850 O
1.703 2.755 2.595 O
1.938 5.828 3.915 O
3.481 7.046 0.660 O
3.297 0.283 2.453 O
1.753 4.008 5.709 O
2.739 1.568 4.896 O
4.283 2.723 1.640 O
5.269 0.267 0.806 O
3.726 4.025 4.062 O
3.499 5.852 5.832 O
5.042 7.021 2.577 O
```

The 10 most intense peaks (5 to 70 degrees two-theta), by angle:
| 2θ/deg | Rel. int. |
| --- | --- |
| 17.88 | 41 |
| 18.31 | 20 |
| 27.00 | 100 |
| 29.38 | 75 |
| 34.63 | 93 |
| 39.75 | 19 |
| 51.02 | 20 |
| 53.72 | 20 |
| 55.59 | 25 |
| 61.52 | 16 |